Simulated X-ray diffraction stick pattern
Compound: Ag12SbSe7
Radiation: copper Kα
Structure: a crystal structure in Alexandria, relaxed with GGA-PBE
Kinematic intensities with the Lorentz-polarization factor, no thermal factor.

The 10 most intense peaks (15° ≤ 2θ ≤ 90°), in order of falling intensity:
| 2theta | d [Å] | I (rel.) | hkl |
| --- | --- | --- | --- |
| 39.32 | 2.292 | 100.0 | 2 2 -2 |
| 35.99 | 2.495 | 50.6 | -1 2 2 |
| 37.86 | 2.377 | 47.8 | 2 0 2 |
| 38.40 | 2.344 | 38.3 | 1 -3 2 |
| 27.78 | 3.211 | 36.8 | 2 -1 1 |
| 30.50 | 2.931 | 33.5 | 1 -2 2 |
| 37.07 | 2.425 | 33.2 | 2 0 -3 |
| 41.96 | 2.153 | 32.5 | 3 0 1 |
| 32.17 | 2.783 | 32.2 | 2 1 -2 |
| 29.31 | 3.047 | 31.0 | 1 2 -1 |

Crystal structure
Cell: 7.694 7.728 8.307 Å, 102.82 100.45 104.37°
Space group P1 (No. 1)
Asymmetric unit:
Ag 0.000 0.000 0.000
Ag 0.005 0.523 0.627
Ag 0.074 0.760 0.376
Ag 0.175 0.385 0.272
Ag 0.269 0.701 0.087
Ag 0.313 0.171 0.537
Ag 0.399 0.681 0.619
Ag 0.658 0.488 0.731
Ag 0.713 0.153 0.562
Ag 0.746 0.894 0.244
Ag 0.806 0.799 0.599
Ag 0.990 0.334 0.898
Sb 0.575 0.323 0.094
Se 0.178 0.900 0.698
Se 0.316 0.437 0.812
Se 0.328 0.077 0.214
Se 0.516 0.615 0.319
Se 0.688 0.034 0.828
Se 0.844 0.256 0.318
Se 0.881 0.640 0.061